Entry 1:
K4U3TcN8: theoretical XRD peak list (λ = 1.5418 Å (Cu Kα)), based on a crystal structure in Alexandria, relaxed with PBE.
Neutral-atom scattering factors, no anomalous dispersion.

Largest 10 diffraction maxima, by angle, 2θ from 15° to 90°:
h k l	2theta	I_rel
0 0 6	27.98	48
0 2 1	30.52	51
2 0 2	31.60	92
0 2 4	35.64	100
2 0 5	38.42	23
0 2 7	45.12	26
2 0 8	48.94	35
2 2 0	53.56	31
2 2 3	55.61	25
2 2 6	61.50	32

Atomic structure:
```
data_K4U3TcN8
_chemical_formula_sum 'K12 U9 Tc3 N24'
_cell_length_a 6.8443
_cell_length_b 6.8443
_cell_length_c 19.1336
_cell_angle_alpha 90.00
_cell_angle_beta 90.00
_cell_angle_gamma 120.00
_space_group_name_H-M_alt 'R -3 m'
_space_group_IT_number 166
_space_group_name_Hall '-R 3 2"'
loop_
_atom_site_label
_atom_site_fract_x
_atom_site_fract_y
_atom_site_fract_z
K1 0.0000 0.0000 0.0000
K2 0.0000 0.5000 0.0000
U1 0.0000 0.5000 0.5000
Tc1 0.0000 0.0000 0.5000
N1 0.0000 0.0000 0.2217
N2 0.0070 0.5035 0.7791
```

Entry 2:
KTe2N2: theoretical XRD peak list (λ = 1.5418 Å (Cu Kα)), based on a crystal structure in Alexandria, relaxed with PBE.
Neutral-atom scattering factors, no anomalous dispersion.

Largest 10 diffraction maxima, by angle, 2θ from 15° to 90°:
h k l	2theta	I_rel
1 0 0	19.56	100
1 1 0	27.80	68
0 0 2	30.15	41
1 0 2	36.19	42
2 0 0	39.72	37
1 1 2	41.47	46
2 1 0	44.64	24
2 0 2	50.66	36
2 1 2	54.82	26
3 1 2	73.28	17

Atomic structure:
```
data_KTe2N2
_chemical_formula_sum 'K1 Te2 N2'
_cell_length_a 4.5388
_cell_length_b 4.5388
_cell_length_c 5.9283
_cell_angle_alpha 90.00
_cell_angle_beta 90.00
_cell_angle_gamma 90.00
_space_group_name_H-M_alt 'P 4/m m m'
_space_group_IT_number 123
_space_group_name_Hall '-P 4 2'
loop_
_atom_site_label
_atom_site_fract_x
_atom_site_fract_y
_atom_site_fract_z
K1 0.0000 0.0000 0.0000
Te1 0.5000 0.5000 0.0000
Te2 0.5000 0.5000 0.5000
N1 0.0000 0.5000 0.5000
```

Entry 3:
K5Te2N2: theoretical XRD peak list (λ = 1.5418 Å (Cu Kα)), based on a crystal structure in Alexandria, relaxed with PBE.
Neutral-atom scattering factors, no anomalous dispersion.

Largest 10 diffraction maxima, by angle, 2θ from 15° to 90°:
h k l	2theta	I_rel
1 1 -1	19.54	67
3 1 0	20.38	67
4 0 1	25.92	81
5 1 0	27.89	92
0 2 0	29.53	79
3 1 -2	30.63	100
2 0 2	30.80	37
5 1 -2	34.18	42
7 1 -1	35.68	50
4 2 1	39.69	50

Atomic structure:
```
data_K5Te2N2
_chemical_formula_sum 'K10 Te4 N4'
_cell_length_a 19.5621
_cell_length_b 6.0502
_cell_length_c 6.9066
_cell_angle_alpha 90.00
_cell_angle_beta 105.53
_cell_angle_gamma 90.00
_space_group_name_H-M_alt 'C 1 2/m 1'
_space_group_IT_number 12
loop_
_space_group_symop_operation_xyz
'x,y,z'
'-x,-y,-z'
'-x,y,-z'
'x,-y,z'
'x+1/2,y+1/2,z'
'-x+1/2,-y+1/2,-z'
'-x+1/2,y+1/2,-z'
'x+1/2,-y+1/2,z'
loop_
_atom_site_label
_atom_site_fract_x
_atom_site_fract_y
_atom_site_fract_z
K1 0.0000 0.0000 0.0000
K2 0.1300 0.5000 0.4260
K3 0.2237 0.0000 0.7892
Te1 0.1826 0.0000 0.2458
N1 0.0127 0.5000 0.0865
```

Entry 4:
KZrTiN3: theoretical XRD peak list (λ = 1.5418 Å (Cu Kα)), based on a crystal structure in Alexandria, relaxed with PBE.
Neutral-atom scattering factors, no anomalous dispersion.

Largest 10 diffraction maxima, by angle, 2θ from 15° to 90°:
h k l	2theta	I_rel
1 0 1	16.58	33
2 0 -1	24.66	23
2 0 -2	28.67	71
0 0 3	29.18	40
1 1 1	31.60	41
0 1 2	33.19	79
2 0 2	33.53	25
2 1 0	36.37	100
1 1 -3	40.47	24
4 1 -2	58.10	23

Atomic structure:
```
data_KZrTiN3
_chemical_formula_sum 'K2 Zr2 Ti2 N6'
_cell_length_a 7.4376
_cell_length_b 3.3374
_cell_length_c 9.2938
_cell_angle_alpha 90.00
_cell_angle_beta 98.94
_cell_angle_gamma 90.00
_space_group_name_H-M_alt 'P 1 21/m 1'
_space_group_IT_number 11
loop_
_space_group_symop_operation_xyz
'x,y,z'
'-x,-y,-z'
'-x,y+1/2,-z'
'x,-y+1/2,z'
loop_
_atom_site_label
_atom_site_fract_x
_atom_site_fract_y
_atom_site_fract_z
K1 0.1523 0.2500 0.1994
Zr1 0.3839 0.7500 0.8767
Ti1 0.1280 0.2500 0.5843
N1 0.1376 0.7500 0.4751
N2 0.1984 0.2500 0.7857
N3 0.4147 0.7500 0.0978
```

Entry 5:
KU4TlN8: theoretical XRD peak list (λ = 1.5418 Å (Cu Kα)), based on a crystal structure in Alexandria, relaxed with PBE.
Neutral-atom scattering factors, no anomalous dispersion.

Largest 10 diffraction maxima, by angle, 2θ from 15° to 90°:
h k l	2theta	I_rel
0 0 6	26.39	69
0 2 1	29.72	100
2 0 2	30.71	62
0 2 4	34.41	58
2 0 5	36.96	51
0 2 7	43.16	54
2 0 8	46.68	27
2 2 0	52.12	36
2 2 3	53.99	23
2 2 6	59.35	42

Atomic structure:
```
data_KU4TlN8
_chemical_formula_sum 'K3 U12 Tl3 N24'
_cell_length_a 7.0194
_cell_length_b 7.0194
_cell_length_c 20.2669
_cell_angle_alpha 90.00
_cell_angle_beta 90.00
_cell_angle_gamma 120.00
_space_group_name_H-M_alt 'R 3 m'
_space_group_IT_number 160
_space_group_name_Hall 'R 3 -2"'
loop_
_atom_site_label
_atom_site_fract_x
_atom_site_fract_y
_atom_site_fract_z
K1 0.0000 0.0000 0.0000
U1 0.0000 0.0000 0.4895
U2 0.1677 0.3354 0.8319
Tl1 0.0000 0.0000 0.6535
N1 0.0000 0.0000 0.2089
N2 0.0000 0.0000 0.7867
N3 0.0036 0.5018 0.2089
N4 0.0090 0.5045 0.7836
```

Entry 6:
K2ZnN4: theoretical XRD peak list (λ = 1.5418 Å (Cu Kα)), based on a crystal structure in Alexandria, relaxed with PBE.
Neutral-atom scattering factors, no anomalous dispersion.

Largest 10 diffraction maxima, by angle, 2θ from 15° to 90°:
h k l	2theta	I_rel
1 0 -1	17.41	35
0 0 2	25.29	96
1 1 0	26.24	94
2 -1 0	27.07	100
1 -2 0	27.65	89
1 1 -2	28.04	63
1 -2 2	28.77	50
2 -1 2	36.89	55
-2 1 2	37.86	49
0 3 0	47.52	31

Atomic structure:
```
data_K2ZnN4
_chemical_formula_sum 'K4 Zn2 N8'
_cell_length_a 6.5993
_cell_length_b 7.1603
_cell_length_c 8.0120
_cell_angle_alpha 115.64
_cell_angle_beta 90.20
_cell_angle_gamma 114.31
_space_group_name_H-M_alt 'P -1'
_space_group_IT_number 2
loop_
_space_group_symop_operation_xyz
'x,y,z'
'-x,-y,-z'
loop_
_atom_site_label
_atom_site_fract_x
_atom_site_fract_y
_atom_site_fract_z
K1 0.0110 0.0499 0.2476
K2 0.3589 0.6870 0.2319
Zn1 0.3177 0.6462 0.7742
N1 0.1027 0.7036 0.9282
N2 0.2093 0.3110 0.6422
N3 0.3525 0.7932 0.6167
N4 0.3925 0.2412 0.0653
```